# 1
Starting from a crystal structure in Alexandria, relaxed with GGA-PBE, the powder diffractogram of Bi2P6Pd21 was computed for Cu Kα X-rays.
Neutral-atom scattering factors, no anomalous dispersion.

The 10 most intense peaks (15° ≤ 2θ ≤ 90°), low angle first:
two_theta  intensity  index
32.8  42  4 2 0
36.0  44  4 2 2
38.3  100  3 3 3
41.8  38  4 4 0
43.8  28  5 3 1
49.5  20  6 2 2
62.7  14  6 4 4
64.8  34  6 6 0
66.3  14  5 5 5
76.4  24  8 4 4

Cell: 12.2161 12.2161 12.2161 Å, 90.00 90.00 90.00°
Space group Fm-3m (No. 225)
Symmetry-distinct sites (fractional):
1 Bi 0.2500 0.2500 0.2500 [8 per cell]
2 P 0.0000 0.0000 0.2387 [24 per cell]
3 Pd 0.0000 0.0000 0.5000 [4 per cell]
4 Pd 0.0000 0.1715 0.3285 [48 per cell]
5 Pd 0.1158 0.1158 0.1158 [32 per cell]

***

# 2
Starting from a crystal structure in Alexandria, relaxed with GGA-PBE, the powder diffractogram of Sr2Pd7Pb was computed for Cu Kα X-rays.
Neutral-atom scattering factors, no anomalous dispersion.

The 10 most intense peaks (15° ≤ 2θ ≤ 90°), low angle first:
two_theta  intensity  index
22.3  16  1 0 1
30.5  24  1 0 3
33.5  100  1 1 2
42.4  49  1 1 4
42.8  23  1 0 5
42.9  51  2 0 0
62.2  15  2 1 5
62.4  17  2 2 0
72.7  21  3 1 2
78.3  16  3 1 4

Cell: 4.2121 4.2121 12.2076 Å, 90.00 90.00 90.00°
Space group P-4m2 (No. 115)
Symmetry-distinct sites (fractional):
1 Sr 0.0000 0.5000 0.2215 [2 per cell]
2 Pd 0.0000 0.0000 0.0000 [1 per cell]
3 Pd 0.0000 0.5000 0.6489 [2 per cell]
4 Pd 0.0000 0.5000 0.8610 [2 per cell]
5 Pd 0.5000 0.5000 0.0000 [1 per cell]
6 Pd 0.5000 0.5000 0.5000 [1 per cell]
7 Pb 0.0000 0.0000 0.5000 [1 per cell]

***

# 3
Starting from a crystal structure in Alexandria, relaxed with GGA-PBE, the powder diffractogram of Nd2FeCo17Si8 was computed for Cu Kα X-rays.
Neutral-atom scattering factors, no anomalous dispersion.

The 10 most intense peaks (15° ≤ 2θ ≤ 90°), low angle first:
two_theta  intensity  index
31.2  16  0 0 4
35.3  22  0 2 4
36.4  22  4 0 2
36.7  17  2 4 0
39.1  24  2 2 4
40.1  100  4 2 2
47.5  40  0 0 6
48.6  17  1 5 3
48.7  16  5 1 3
49.2  20  3 5 1

Cell: 10.9253 10.9576 11.4757 Å, 90.00 90.00 90.00°
Space group Fmmm (No. 69)
Symmetry-distinct sites (fractional):
1 Nd 0.2500 0.2500 0.2500 [8 per cell]
2 Fe 0.0000 0.0000 0.0000 [4 per cell]
3 Co 0.0000 0.0000 0.5000 [4 per cell]
4 Co 0.0000 0.1294 0.3199 [16 per cell]
5 Co 0.1155 0.1853 0.5000 [16 per cell]
6 Co 0.1292 0.0000 0.1800 [16 per cell]
7 Co 0.1839 0.1148 0.0000 [16 per cell]
8 Si 0.0000 0.1693 0.1219 [16 per cell]
9 Si 0.1693 0.0000 0.3788 [16 per cell]

***

What did the first record say?
Starting from a crystal structure in Alexandria, relaxed with GGA-PBE, the powder diffractogram of Bi2P6Pd21 was computed for Cu Kα X-rays.
Neutral-atom scattering factors, no anomalous dispersion.

The 10 most intense peaks (15° ≤ 2θ ≤ 90°), low angle first:
two_theta  intensity  index
32.8  42  4 2 0
36.0  44  4 2 2
38.3  100  3 3 3
41.8  38  4 4 0
43.8  28  5 3 1
49.5  20  6 2 2
62.7  14  6 4 4
64.8  34  6 6 0
66.3  14  5 5 5
76.4  24  8 4 4

Cell: 12.2161 12.2161 12.2161 Å, 90.00 90.00 90.00°
Space group Fm-3m (No. 225)
Symmetry-distinct sites (fractional):
1 Bi 0.2500 0.2500 0.2500 [8 per cell]
2 P 0.0000 0.0000 0.2387 [24 per cell]
3 Pd 0.0000 0.0000 0.5000 [4 per cell]
4 Pd 0.0000 0.1715 0.3285 [48 per cell]
5 Pd 0.1158 0.1158 0.1158 [32 per cell]